# 1
# Fe5Si
Computed powder XRD pattern, Cu Ka. Input: DFT lattice parameters and positions (GGA-PBE).

Crystal structure
```
Fe5Si
1.0
3.9814 0.0000 0.0000
-1.9907 3.4480 0.0000
0.0000 0.0000 4.8909
Fe Si
5 1
direct
0.0000 0.0000 0.0000
0.3333 0.6667 0.3335
0.3333 0.6667 0.8319
0.6667 0.3333 0.1681
0.6667 0.3333 0.6665
0.0000 0.0000 0.5000
```

Peak list (6 most intense, 10° ≤ 2θ ≤ 80°, most intense first)
| 2θ (°) | I/Imax |
| --- | --- |
| 45.52 | 100 |
| 66.34 | 15 |
| 31.75 | 3 |
| 25.84 | 2 |
| 18.14 | 1 |
| 49.43 | 1 |



# 2
# Fe2Si5
Computed powder XRD pattern, Cu Ka. Input: DFT lattice parameters and positions (GGA-PBE).

Crystal structure
```
Fe2Si5
1.0
2.6785 0.0000 0.0000
0.0000 2.6785 0.0000
0.0000 0.0000 25.9756
Fe Si
4 10
direct
0.0000 0.0000 0.0993
0.0000 0.0000 0.2973
0.0000 0.0000 0.7027
0.0000 0.0000 0.9007
0.5000 0.5000 0.0450
0.5000 0.5000 0.1537
0.5000 0.5000 0.2438
0.5000 0.5000 0.3534
0.5000 0.5000 0.4456
0.5000 0.5000 0.5544
0.5000 0.5000 0.6466
0.5000 0.5000 0.7562
0.5000 0.5000 0.8463
0.5000 0.5000 0.9550
```

Peak list (10 most intense, 10° ≤ 2θ ≤ 80°, most intense first)
| 2θ (°) | I/Imax |
| --- | --- |
| 48.84 | 100 |
| 37.79 | 65 |
| 17.07 | 62 |
| 48.04 | 56 |
| 70.29 | 17 |
| 10.22 | 16 |
| 74.20 | 13 |
| 51.35 | 12 |
| 52.87 | 9 |
| 13.64 | 7 |



# 3
# Fe3Si2
Computed powder XRD pattern, Cu Ka. Input: DFT lattice parameters and positions (GGA-PBE).

Crystal structure
```
Fe3Si2
1.0
0.0000 4.0681 6.1110
2.2637 0.0000 6.1110
2.2637 4.0681 0.0000
Fe Si
6 4
direct
0.0143 0.0143 0.2357
0.2357 0.2357 0.0143
0.3750 0.3750 0.3750
0.6250 0.6250 0.6250
0.7643 0.7643 0.9857
0.9857 0.9857 0.7643
0.1802 0.1802 0.5698
0.4302 0.4302 0.8198
0.5698 0.5698 0.1802
0.8198 0.8198 0.4302
```

Peak list (10 most intense, 10° ≤ 2θ ≤ 80°, most intense first)
| 2θ (°) | I/Imax |
| --- | --- |
| 43.52 | 100 |
| 45.87 | 91 |
| 44.54 | 50 |
| 54.45 | 49 |
| 31.52 | 23 |
| 72.89 | 19 |
| 74.86 | 18 |
| 26.32 | 10 |
| 44.86 | 8 |
| 29.23 | 5 |



# 4
# SmFeSi2
Computed powder XRD pattern, Cu Ka. Input: DFT lattice parameters and positions (GGA-PBE).

Crystal structure
```
SmFeSi2
1.0
4.3192 0.0000 0.0000
0.0000 4.0022 0.0000
-1.8715 0.0000 7.8246
Sm Fe Si
2 2 4
direct
0.1028 0.2500 0.2056
0.8972 0.7500 0.7944
0.3831 0.2500 0.6089
0.6169 0.7500 0.3911
0.1729 0.7500 0.4949
0.4546 0.2500 0.9024
0.5454 0.7500 0.0976
0.8271 0.2500 0.5051
```

Peak list (10 most intense, 10° ≤ 2θ ≤ 80°, most intense first)
| 2θ (°) | I/Imax |
| --- | --- |
| 34.72 | 100 |
| 31.15 | 46 |
| 36.06 | 41 |
| 41.32 | 40 |
| 35.47 | 35 |
| 24.99 | 35 |
| 30.86 | 34 |
| 45.32 | 33 |
| 31.99 | 31 |
| 41.86 | 30 |



# 5
# Sm2Fe3Si5
Computed powder XRD pattern, Cu Ka. Input: DFT lattice parameters and positions (GGA-PBE).

Crystal structure
```
Sm2Fe3Si5
1.0
10.4408 0.0000 0.0000
0.0000 10.4408 0.0000
0.0000 0.0000 5.5833
Sm Fe Si
8 12 20
direct
0.0696 0.2353 0.0000
0.2353 0.9304 0.0000
0.2647 0.4304 0.5000
0.4304 0.7353 0.5000
0.5696 0.2647 0.5000
0.7353 0.5696 0.5000
0.7647 0.0696 0.0000
0.9304 0.7647 0.0000
0.0000 0.5000 0.2500
0.0000 0.5000 0.7500
0.1230 0.8537 0.5000
0.1463 0.1230 0.5000
0.3537 0.6230 0.0000
0.3770 0.3537 0.0000
0.5000 0.0000 0.2500
0.5000 0.0000 0.7500
0.6230 0.6463 0.0000
0.6463 0.3770 0.0000
0.8537 0.8770 0.5000
0.8770 0.1463 0.5000
0.0000 0.0000 0.2796
0.0000 0.0000 0.7204
0.0199 0.3210 0.5000
0.1767 0.6767 0.2500
0.1767 0.6767 0.7500
0.1790 0.4801 0.0000
0.3210 0.9801 0.5000
0.3233 0.1767 0.2500
0.3233 0.1767 0.7500
0.4801 0.8210 0.0000
0.5000 0.5000 0.2204
0.5000 0.5000 0.7796
0.5199 0.1790 0.0000
0.6767 0.8233 0.2500
0.6767 0.8233 0.7500
0.6790 0.0199 0.5000
0.8210 0.5199 0.0000
0.8233 0.3233 0.2500
0.8233 0.3233 0.7500
0.9801 0.6790 0.5000
```

Peak list (10 most intense, 10° ≤ 2θ ≤ 80°, most intense first)
| 2θ (°) | I/Imax |
| --- | --- |
| 31.48 | 100 |
| 40.51 | 60 |
| 39.06 | 52 |
| 35.45 | 33 |
| 24.86 | 31 |
| 37.54 | 29 |
| 32.06 | 29 |
| 38.56 | 27 |
| 53.76 | 24 |
| 56.78 | 19 |



# 6
# TaFe4Si
Computed powder XRD pattern, Cu Ka. Input: DFT lattice parameters and positions (GGA-PBE).

Crystal structure
```
TaFe4Si
1.0
0.0000 3.3435 3.3435
3.3435 0.0000 3.3435
3.3435 3.3435 0.0000
Ta Fe Si
1 4 1
direct
0.0000 0.0000 0.0000
0.1251 0.6250 0.6250
0.6250 0.1251 0.6250
0.6250 0.6250 0.1251
0.6250 0.6250 0.6250
0.2500 0.2500 0.2500
```

Peak list (9 most intense, 10° ≤ 2θ ≤ 80°, most intense first)
| 2θ (°) | I/Imax |
| --- | --- |
| 44.96 | 100 |
| 38.06 | 43 |
| 73.60 | 30 |
| 26.66 | 28 |
| 23.04 | 28 |
| 47.08 | 28 |
| 68.77 | 15 |
| 62.07 | 11 |
| 60.33 | 7 |



# 7
# Fe4SiTe
Computed powder XRD pattern, Cu Ka. Input: DFT lattice parameters and positions (GGA-PBE).

Crystal structure
```
Fe4SiTe
1.0
0.0000 3.4956 3.4956
3.4956 0.0000 3.4956
3.4956 3.4956 0.0000
Fe Si Te
4 1 1
direct
0.1240 0.1240 0.1240
0.1240 0.1240 0.6279
0.1240 0.6279 0.1240
0.6279 0.1240 0.1240
0.7500 0.7500 0.7500
0.5000 0.5000 0.5000
```

Peak list (10 most intense, 10° ≤ 2θ ≤ 80°, most intense first)
| 2θ (°) | I/Imax |
| --- | --- |
| 42.90 | 100 |
| 36.35 | 34 |
| 44.91 | 34 |
| 69.92 | 29 |
| 77.19 | 22 |
| 25.48 | 17 |
| 22.02 | 15 |
| 65.40 | 12 |
| 59.10 | 6 |
| 57.46 | 4 |



# 8
# ThFe5Si2
Computed powder XRD pattern, Cu Ka. Input: DFT lattice parameters and positions (GGA-PBE).

Crystal structure
```
ThFe5Si2
1.0
-1.7739 3.4222 4.7073
1.7739 -3.4222 4.7073
1.7739 3.4222 -4.7073
Th Fe Si
1 5 2
direct
0.0000 0.0000 0.0000
0.1663 0.3512 0.8151
0.4639 0.6488 0.8151
0.5000 0.0000 0.5000
0.5361 0.3512 0.1849
0.8337 0.6488 0.1849
0.2532 0.7532 0.5000
0.7468 0.2468 0.5000
```

Peak list (10 most intense, 10° ≤ 2θ ≤ 80°, most intense first)
| 2θ (°) | I/Imax |
| --- | --- |
| 37.75 | 100 |
| 38.29 | 87 |
| 46.85 | 48 |
| 51.47 | 46 |
| 32.34 | 39 |
| 31.36 | 37 |
| 34.25 | 34 |
| 28.33 | 29 |
| 16.01 | 28 |
| 67.69 | 27 |